The following is a calculated powder diffractogram of MgTi3Pb5WO15. It was derived from the GGA+U geometry in Alexandria, using Cu Kα (λ = 1.5418 Å).
Peak positions follow from Bragg's law for the DFT cell and can differ from measured ones.

Structural model:
a = 5.650 Å, b = 5.650 Å, c = 20.090 Å
α = 90.00°, β = 90.00°, γ = 90.00°
Fractional positions:
Mg: 0.250 0.250 0.102
Mg: 0.750 0.750 0.898
Ti: 0.250 0.250 0.297
Ti: 0.250 0.250 0.496
Ti: 0.250 0.250 0.694
Ti: 0.750 0.750 0.306
Ti: 0.750 0.750 0.504
Ti: 0.750 0.750 0.703
Pb: 0.250 0.750 0.000
Pb: 0.250 0.750 0.205
Pb: 0.250 0.750 0.402
Pb: 0.250 0.750 0.598
Pb: 0.250 0.750 0.795
Pb: 0.750 0.250 0.000
Pb: 0.750 0.250 0.205
Pb: 0.750 0.250 0.402
Pb: 0.750 0.250 0.598
Pb: 0.750 0.250 0.795
W: 0.250 0.250 0.899
W: 0.750 0.750 0.101
O: 0.000 0.000 0.500
O: 0.000 0.500 0.500
O: 0.001 0.001 0.698
O: 0.001 0.499 0.698
O: 0.007 0.007 0.899
O: 0.007 0.493 0.899
O: 0.250 0.250 0.206
O: 0.250 0.250 0.402
O: 0.250 0.250 0.600
O: 0.250 0.250 0.799
O: 0.250 0.250 0.996
O: 0.493 0.007 0.899
O: 0.493 0.493 0.899
O: 0.499 0.001 0.698
O: 0.499 0.499 0.698
O: 0.500 0.000 0.500
O: 0.500 0.500 0.500
O: 0.501 0.501 0.302
O: 0.501 0.999 0.302
O: 0.507 0.507 0.101
O: 0.507 0.993 0.101
O: 0.750 0.750 0.004
O: 0.750 0.750 0.201
O: 0.750 0.750 0.400
O: 0.750 0.750 0.598
O: 0.750 0.750 0.794
O: 0.993 0.507 0.101
O: 0.993 0.993 0.101
O: 0.999 0.501 0.302
O: 0.999 0.999 0.302

Peak list (10 most intense, 5° ≤ 2θ ≤ 70°, in order of rising 2θ)
2θ/deg, I_rel, index
22.12, 8, 0 0 5
22.25, 15, 1 1 0
31.61, 100, 2 0 0
38.97, 19, 2 0 5
45.13, 9, 0 0 10
45.40, 19, 2 2 0
51.09, 8, 3 1 0
56.18, 13, 2 0 10
56.36, 27, 3 1 5
65.95, 12, 2 2 10